Entry 1:
SrZn11Ag: theoretical powder XRD pattern (Cu Kα X-rays), based on a cell relaxed with PBE.
No peak broadening, texture or thermal motion is included.

Peak list (12 most intense, 2θ from 10° to 80°, low angle first)
Position (°2θ)	d_spacing	Rel. int.
19.47	4.560	14
34.06	2.632	23
39.03	2.308	46
39.27	2.294	86
39.50	2.281	100
39.77	2.267	17
43.98	2.059	53
44.19	2.049	28
44.43	2.039	20
44.61	2.031	29
71.20	1.324	15
71.74	1.316	18

```
data_SrZn11Ag
_chemical_formula_sum 'Sr2 Zn22 Ag2'
_cell_length_a 5.329
_cell_length_b 12.970
_cell_length_c 6.920
_cell_angle_alpha 90.00
_cell_angle_beta 112.05
_cell_angle_gamma 90.00
_space_group_name_H-M_alt 'C 1 2/m 1'
_space_group_IT_number 12
_space_group_name_Hall '-C 2y'
loop_
_atom_site_label
_atom_site_type_symbol
_atom_site_fract_x
_atom_site_fract_y
_atom_site_fract_z
Sr1 Sr 0.000 0.000 0.000
Zn1 Zn 0.000 0.500 0.500
Zn2 Zn 0.106 0.385 0.224
Zn3 Zn 0.184 0.179 0.356
Zn4 Zn 0.250 0.250 0.000
Ag1 Ag 0.000 0.000 0.500
```

Entry 2:
Sr3Zn3Ag: theoretical powder XRD pattern (Cu Kα X-rays), based on a cell relaxed with PBE.
No peak broadening, texture or thermal motion is included.

Peak list (12 most intense, 2θ from 10° to 80°, low angle first)
Position (°2θ)	d_spacing	Rel. int.
15.35	5.773	21
29.23	3.055	66
29.47	3.031	57
30.00	2.978	81
30.99	2.886	23
31.37	2.852	20
33.79	2.652	27
36.44	2.466	27
36.57	2.457	100
37.73	2.384	62
53.59	1.710	20
63.43	1.466	20

```
data_Sr3Zn3Ag
_chemical_formula_sum 'Sr12 Zn12 Ag4'
_cell_length_a 11.548
_cell_length_b 4.768
_cell_length_c 15.709
_cell_angle_alpha 90.00
_cell_angle_beta 110.37
_cell_angle_gamma 90.00
_space_group_name_H-M_alt 'C 1 2/m 1'
_space_group_IT_number 12
_space_group_name_Hall '-C 2y'
loop_
_atom_site_label
_atom_site_type_symbol
_atom_site_fract_x
_atom_site_fract_y
_atom_site_fract_z
Sr1 Sr 0.044 0.000 0.387
Sr2 Sr 0.108 0.000 0.923
Sr3 Sr 0.245 0.500 0.768
Zn1 Zn 0.052 0.500 0.231
Zn2 Zn 0.095 0.500 0.077
Zn3 Zn 0.130 0.500 0.542
Ag1 Ag 0.249 0.000 0.605
```

Entry 3:
Sr4ZnAg: theoretical powder XRD pattern (Cu Kα X-rays), based on a cell relaxed with PBE.
No peak broadening, texture or thermal motion is included.

Peak list (12 most intense, 2θ from 10° to 80°, low angle first)
Position (°2θ)	d_spacing	Rel. int.
12.57	7.044	17
29.32	3.046	100
31.62	2.830	53
39.10	2.304	25
45.32	2.001	19
50.51	1.807	9
54.90	1.672	33
61.37	1.511	13
62.08	1.495	13
71.34	1.322	8
75.06	1.265	8
78.39	1.220	7

```
data_Sr4ZnAg
_chemical_formula_sum 'Sr4 Zn1 Ag1'
_cell_length_a 4.002
_cell_length_b 4.002
_cell_length_c 14.089
_cell_angle_alpha 90.00
_cell_angle_beta 90.00
_cell_angle_gamma 90.00
_space_group_name_H-M_alt 'P 4/m m m'
_space_group_IT_number 123
_space_group_name_Hall '-P 4 2'
loop_
_atom_site_label
_atom_site_type_symbol
_atom_site_fract_x
_atom_site_fract_y
_atom_site_fract_z
Sr1 Sr 0.000 0.000 0.134
Sr2 Sr 0.500 0.500 0.365
Zn1 Zn 0.500 0.500 0.000
Ag1 Ag 0.000 0.000 0.500
```

Entry 4:
Sr2Zn4Ag5: theoretical powder XRD pattern (Cu Kα X-rays), based on a cell relaxed with PBE.
No peak broadening, texture or thermal motion is included.

Peak list (12 most intense, 2θ from 10° to 80°, low angle first)
Position (°2θ)	d_spacing	Rel. int.
17.94	4.945	20
18.15	4.886	15
28.24	3.161	36
35.10	2.556	100
36.34	2.472	14
37.18	2.418	62
41.59	2.171	50
42.68	2.118	25
44.07	2.055	30
56.49	1.629	14
57.52	1.602	21
64.56	1.443	17

```
data_Sr2Zn4Ag5
_chemical_formula_sum 'Sr8 Zn16 Ag20'
_cell_length_a 5.981
_cell_length_b 9.889
_cell_length_c 16.439
_cell_angle_alpha 90.00
_cell_angle_beta 90.00
_cell_angle_gamma 90.00
_space_group_name_H-M_alt 'F m m m'
_space_group_IT_number 69
_space_group_name_Hall '-F 2 2'
loop_
_atom_site_label
_atom_site_type_symbol
_atom_site_fract_x
_atom_site_fract_y
_atom_site_fract_z
Sr1 Sr 0.000 0.000 0.135
Zn1 Zn 0.000 0.151 0.369
Ag1 Ag 0.000 0.000 0.500
Ag2 Ag 0.250 0.250 0.000
Ag3 Ag 0.250 0.250 0.250
```

Entry 5:
Sr4ZnAg: theoretical powder XRD pattern (Cu Kα X-rays), based on a cell relaxed with PBE.
No peak broadening, texture or thermal motion is included.

Peak list (12 most intense, 2θ from 10° to 80°, low angle first)
Position (°2θ)	d_spacing	Rel. int.
19.54	4.543	54
22.55	3.943	16
32.13	2.786	100
32.21	2.779	99
37.86	2.377	20
46.03	1.972	24
46.35	1.959	12
57.29	1.608	49
57.50	1.603	24
67.39	1.390	15
76.40	1.247	21
76.91	1.240	10

```
data_Sr4ZnAg
_chemical_formula_sum 'Sr8 Zn2 Ag2'
_cell_length_a 7.887
_cell_length_b 7.887
_cell_length_c 7.835
_cell_angle_alpha 90.00
_cell_angle_beta 90.04
_cell_angle_gamma 90.00
_space_group_name_H-M_alt 'C 1 2 1'
_space_group_IT_number 5
_space_group_name_Hall 'C 2y'
loop_
_atom_site_label
_atom_site_type_symbol
_atom_site_fract_x
_atom_site_fract_y
_atom_site_fract_z
Sr1 Sr 0.250 0.000 0.247
Sr2 Sr 0.250 0.000 0.753
Zn1 Zn 0.000 0.249 0.000
Ag1 Ag 0.000 0.750 0.500
```

Entry 6:
Sr2ZnAg7: theoretical powder XRD pattern (Cu Kα X-rays), based on a cell relaxed with PBE.
No peak broadening, texture or thermal motion is included.

Peak list (12 most intense, 2θ from 10° to 80°, low angle first)
Position (°2θ)	d_spacing	Rel. int.
21.34	4.164	19
30.00	2.979	47
32.16	2.783	100
40.67	2.219	64
41.54	2.174	48
42.67	2.119	36
51.35	1.779	20
58.87	1.569	21
60.41	1.532	25
68.68	1.367	21
74.60	1.272	15
76.38	1.247	15

```
data_Sr2ZnAg7
_chemical_formula_sum 'Sr2 Zn1 Ag7'
_cell_length_a 4.437
_cell_length_b 4.437
_cell_length_c 12.060
_cell_angle_alpha 90.00
_cell_angle_beta 90.00
_cell_angle_gamma 90.00
_space_group_name_H-M_alt 'P -4 m 2'
_space_group_IT_number 115
_space_group_name_Hall 'P -4 -2'
loop_
_atom_site_label
_atom_site_type_symbol
_atom_site_fract_x
_atom_site_fract_y
_atom_site_fract_z
Sr1 Sr 0.000 0.500 0.248
Zn1 Zn 0.500 0.500 0.000
Ag1 Ag 0.000 0.000 0.000
Ag2 Ag 0.000 0.000 0.500
Ag3 Ag 0.000 0.500 0.643
Ag4 Ag 0.000 0.500 0.867
Ag5 Ag 0.500 0.500 0.500
```

Entry 7:
Sr2Zn6Ag9: theoretical powder XRD pattern (Cu Kα X-rays), based on a cell relaxed with PBE.
No peak broadening, texture or thermal motion is included.

Peak list (12 most intense, 2θ from 10° to 80°, low angle first)
Position (°2θ)	d_spacing	Rel. int.
17.77	4.991	42
20.59	4.313	12
27.33	3.263	19
35.99	2.495	48
37.54	2.396	79
41.84	2.159	100
53.00	1.728	8
56.39	1.632	24
59.56	1.552	19
64.70	1.441	22
73.64	1.286	10
76.47	1.246	11

```
data_Sr2Zn6Ag9
_chemical_formula_sum 'Sr2 Zn6 Ag9'
_cell_length_a 5.7629
_cell_length_b 5.7629
_cell_length_c 12.9389
_cell_angle_alpha 90.00
_cell_angle_beta 90.00
_cell_angle_gamma 120.00
_space_group_name_H-M_alt 'P 6/m m m'
_space_group_IT_number 191
_space_group_name_Hall '-P 6 2'
loop_
_atom_site_label
_atom_site_type_symbol
_atom_site_fract_x
_atom_site_fract_y
_atom_site_fract_z
Sr1 Sr 0.0000 0.0000 0.1730
Zn1 Zn 0.3333 0.6667 0.1656
Zn2 Zn 0.3333 0.6667 0.5000
Ag1 Ag 0.0000 0.5000 0.0000
Ag2 Ag 0.0000 0.5000 0.3339
```

Entry 8:
SrZn4Ag4: theoretical powder XRD pattern (Cu Kα X-rays), based on a cell relaxed with PBE.
No peak broadening, texture or thermal motion is included.

Peak list (12 most intense, 2θ from 10° to 80°, low angle first)
Position (°2θ)	d_spacing	Rel. int.
13.93	6.357	66
28.07	3.178	16
29.09	3.070	27
31.47	2.843	48
37.85	2.377	43
40.87	2.208	100
45.78	1.982	30
50.02	1.824	25
51.86	1.763	14
65.97	1.416	14
66.22	1.411	13
70.40	1.337	18

```
data_SrZn4Ag4
_chemical_formula_sum 'Sr2 Zn8 Ag8'
_cell_length_a 8.990
_cell_length_b 8.990
_cell_length_c 4.754
_cell_angle_alpha 90.00
_cell_angle_beta 90.00
_cell_angle_gamma 90.00
_space_group_name_H-M_alt 'I 4/m'
_space_group_IT_number 87
_space_group_name_Hall '-I 4'
loop_
_atom_site_label
_atom_site_type_symbol
_atom_site_fract_x
_atom_site_fract_y
_atom_site_fract_z
Sr1 Sr 0.000 0.000 0.000
Zn1 Zn 0.165 0.279 0.500
Ag1 Ag 0.102 0.386 0.000
```

Entry 9:
SrZrAg: theoretical powder XRD pattern (Cu Kα X-rays), based on a cell relaxed with PBE.
No peak broadening, texture or thermal motion is included.

Peak list (12 most intense, 2θ from 10° to 80°, low angle first)
Position (°2θ)	d_spacing	Rel. int.
13.39	6.615	18
26.96	3.307	9
32.30	2.772	100
35.63	2.520	48
40.93	2.205	6
42.56	2.124	11
45.24	2.004	9
51.28	1.782	16
55.00	1.670	14
55.37	1.659	10
61.92	1.499	29
78.52	1.218	10

```
data_SrZrAg
_chemical_formula_sum 'Sr2 Zr2 Ag2'
_cell_length_a 3.563
_cell_length_b 3.563
_cell_length_c 13.229
_cell_angle_alpha 90.00
_cell_angle_beta 90.00
_cell_angle_gamma 90.00
_space_group_name_H-M_alt 'I 4 m m'
_space_group_IT_number 107
_space_group_name_Hall 'I 4 -2'
loop_
_atom_site_label
_atom_site_type_symbol
_atom_site_fract_x
_atom_site_fract_y
_atom_site_fract_z
Sr1 Sr 0.000 0.000 0.000
Zr1 Zr 0.000 0.000 0.710
Ag1 Ag 0.000 0.000 0.319
```

Entry 10:
SrZrAg: theoretical powder XRD pattern (Cu Kα X-rays), based on a cell relaxed with PBE.
No peak broadening, texture or thermal motion is included.

Peak list (12 most intense, 2θ from 10° to 80°, low angle first)
Position (°2θ)	d_spacing	Rel. int.
13.86	6.389	15
28.23	3.162	6
32.36	2.766	100
34.87	2.573	52
42.45	2.130	6
43.26	2.091	12
50.14	1.819	18
50.33	1.813	7
56.06	1.641	10
60.95	1.520	31
68.34	1.373	6
73.64	1.286	6

```
data_SrZrAg
_chemical_formula_sum 'Sr2 Zr2 Ag2'
_cell_length_a 3.638
_cell_length_b 3.638
_cell_length_c 12.778
_cell_angle_alpha 90.00
_cell_angle_beta 90.00
_cell_angle_gamma 90.00
_space_group_name_H-M_alt 'P 4/m m m'
_space_group_IT_number 123
_space_group_name_Hall '-P 4 2'
loop_
_atom_site_label
_atom_site_type_symbol
_atom_site_fract_x
_atom_site_fract_y
_atom_site_fract_z
Sr1 Sr 0.000 0.000 0.169
Zr1 Zr 0.500 0.500 0.381
Ag1 Ag 0.000 0.000 0.500
Ag2 Ag 0.500 0.500 0.000
```

Entry 11:
Sr2ZrAg: theoretical powder XRD pattern (Cu Kα X-rays), based on a cell relaxed with PBE.
No peak broadening, texture or thermal motion is included.

Peak list (12 most intense, 2θ from 10° to 80°, low angle first)
Position (°2θ)	d_spacing	Rel. int.
25.75	3.459	10
27.31	3.266	19
30.29	2.951	100
34.30	2.615	63
35.54	2.526	10
36.72	2.448	45
44.38	2.041	23
49.29	1.849	22
52.88	1.731	16
58.94	1.567	41
63.01	1.475	18
75.19	1.264	11

```
data_Sr2ZrAg
_chemical_formula_sum 'Sr2 Zr1 Ag1'
_cell_length_a 3.698
_cell_length_b 3.698
_cell_length_c 9.797
_cell_angle_alpha 90.00
_cell_angle_beta 90.00
_cell_angle_gamma 90.00
_space_group_name_H-M_alt 'P 4 m m'
_space_group_IT_number 99
_space_group_name_Hall 'P 4 -2'
loop_
_atom_site_label
_atom_site_type_symbol
_atom_site_fract_x
_atom_site_fract_y
_atom_site_fract_z
Sr1 Sr 0.000 0.000 0.000
Sr2 Sr 0.500 0.500 0.366
Zr1 Zr 0.000 0.000 0.631
Ag1 Ag 0.500 0.500 0.768
```

Entry 12:
TaAg3: theoretical powder XRD pattern (Cu Kα X-rays), based on a cell relaxed with PBE.
No peak broadening, texture or thermal motion is included.

Peak list (12 most intense, 2θ from 10° to 80°, low angle first)
Position (°2θ)	d_spacing	Rel. int.
18.21	4.872	3
35.72	2.514	2
36.13	2.486	2
36.90	2.436	35
37.72	2.385	100
43.59	2.076	66
62.79	1.480	22
63.91	1.457	20
75.11	1.265	13
76.14	1.250	24
76.65	1.243	12
78.53	1.218	4

```
data_TaAg3
_chemical_formula_sum 'Ta3 Ag9'
_cell_length_a 2.9133
_cell_length_b 2.9133
_cell_length_c 29.2323
_cell_angle_alpha 90.00
_cell_angle_beta 90.00
_cell_angle_gamma 120.00
_space_group_name_H-M_alt 'R -3 m'
_space_group_IT_number 166
_space_group_name_Hall '-R 3 2"'
loop_
_atom_site_label
_atom_site_type_symbol
_atom_site_fract_x
_atom_site_fract_y
_atom_site_fract_z
Ta1 Ta 0.0000 0.0000 0.0000
Ag1 Ag 0.0000 0.0000 0.2497
Ag2 Ag 0.0000 0.0000 0.5000
```

Entry 13:
TaTl4Ag3Te8: theoretical powder XRD pattern (Cu Kα X-rays), based on a cell relaxed with PBE.
No peak broadening, texture or thermal motion is included.

Peak list (12 most intense, 2θ from 10° to 80°, low angle first)
Position (°2θ)	d_spacing	Rel. int.
24.03	3.704	7
28.69	3.111	100
31.18	2.869	8
40.37	2.234	33
41.67	2.167	38
51.37	1.779	20
56.47	1.629	6
59.40	1.556	14
66.37	1.409	12
68.21	1.375	16
75.17	1.264	12
76.06	1.251	6

```
data_TaTl4Ag3Te8
_chemical_formula_sum 'Ta3 Tl12 Ag9 Te24'
_cell_length_a 8.6699
_cell_length_b 8.6699
_cell_length_c 22.2406
_cell_angle_alpha 90.00
_cell_angle_beta 90.00
_cell_angle_gamma 120.00
_space_group_name_H-M_alt 'R -3 m'
_space_group_IT_number 166
_space_group_name_Hall '-R 3 2"'
loop_
_atom_site_label
_atom_site_type_symbol
_atom_site_fract_x
_atom_site_fract_y
_atom_site_fract_z
Ta1 Ta 0.0000 0.0000 0.0000
Tl1 Tl 0.0000 0.0000 0.5000
Tl2 Tl 0.0000 0.5000 0.5000
Ag1 Ag 0.0000 0.5000 0.0000
Te1 Te 0.0000 0.0000 0.2698
Te2 Te 0.0232 0.5116 0.7368
```

Entry 14:
TaTlAg2: theoretical powder XRD pattern (Cu Kα X-rays), based on a cell relaxed with PBE.
No peak broadening, texture or thermal motion is included.

Peak list (12 most intense, 2θ from 10° to 80°, low angle first)
Position (°2θ)	d_spacing	Rel. int.
17.52	5.063	11
32.68	2.740	5
35.46	2.531	27
37.32	2.410	100
37.51	2.397	25
52.58	1.741	17
55.01	1.669	8
64.90	1.437	17
67.17	1.394	8
67.56	1.387	17
68.49	1.370	8
79.56	1.205	10

```
data_TaTlAg2
_chemical_formula_sum 'Ta2 Tl2 Ag4'
_cell_length_a 3.339
_cell_length_b 4.795
_cell_length_c 10.125
_cell_angle_alpha 90.00
_cell_angle_beta 90.00
_cell_angle_gamma 90.00
_space_group_name_H-M_alt 'C m m m'
_space_group_IT_number 65
_space_group_name_Hall '-C 2 2'
loop_
_atom_site_label
_atom_site_type_symbol
_atom_site_fract_x
_atom_site_fract_y
_atom_site_fract_z
Ta1 Ta 0.000 0.000 0.000
Tl1 Tl 0.000 0.000 0.500
Ag1 Ag 0.000 0.500 0.231
```